# Rb3Ta2MnO9
Simulated powder diffraction line list, Cu Ka. Input: DFT lattice parameters and positions (GGA+U).
No peak broadening, texture or thermal motion is included.

Crystal structure
```
data_Rb3Ta2MnO9
_cell_length_a 5.7001
_cell_length_b 5.7001
_cell_length_c 6.9812
_cell_angle_alpha 90.00
_cell_angle_beta 90.00
_cell_angle_gamma 120.00
_space_group_name_H-M_alt 'P 1'
_space_group_IT_number 1
_space_group_name_Hall 'P 1'
loop_
_atom_site_label
_atom_site_fract_x
_atom_site_fract_y
_atom_site_fract_z
Rb1 0.0000 0.0000 0.0000
Rb2 0.3333 0.6667 0.6655
Rb3 0.6667 0.3333 0.3345
Ta1 0.3333 0.6667 0.1749
Ta2 0.6667 0.3333 0.8251
Mn1 0.0000 0.0000 0.5000
O1 0.0000 0.5000 0.0000
O2 0.1650 0.3300 0.3356
O3 0.1650 0.8350 0.3356
O4 0.3300 0.1650 0.6644
O5 0.5000 0.0000 0.0000
O6 0.5000 0.5000 0.0000
O7 0.6700 0.8350 0.3356
O8 0.8350 0.1650 0.6644
O9 0.8350 0.6700 0.6644
```

Top 12 peaks for 10° ≤ 2θ ≤ 90°, sorted by position:
12.68 deg, intensity 4, (0 0 1)
17.97 deg, intensity 7, (1 0 0)
22.05 deg, intensity 19, (1 0 1)
31.39 deg, intensity 100, (1 1 0)
40.88 deg, intensity 3, (1 1 2)
44.98 deg, intensity 31, (2 0 2)
50.64 deg, intensity 7, (2 1 1)
55.87 deg, intensity 40, (3 0 0)
65.50 deg, intensity 19, (2 2 0)
70.03 deg, intensity 3, (1 3 1)
74.43 deg, intensity 18, (3 1 2)
82.99 deg, intensity 6, (0 4 2)